Calculated XRD peak list
Compound: Tb3DyRu2
Radiation: Cu Kα X-rays
Structure: the PBE geometry in Alexandria

The 10 most intense peaks (10° ≤ 2θ ≤ 80°), by angle:
h k l	2θ/deg	d/Å	intensity
0 0 2	28.1	3.178	18
1 3 1	32.6	2.743	100
2 0 2	33.8	2.651	24
4 0 0	37.4	2.404	21
2 2 2	38.8	2.322	65
4 2 0	42.0	2.150	28
1 3 3	52.7	1.738	26
5 3 1	57.8	1.596	34
6 0 2	65.2	1.431	22
5 3 3	72.7	1.301	17

Structural model:
```
data_Tb3DyRu2
_chemical_formula_sum 'Tb12 Dy4 Ru8'
_cell_length_a 9.6127
_cell_length_b 9.6200
_cell_length_c 6.3555
_cell_angle_alpha 90.00
_cell_angle_beta 90.00
_cell_angle_gamma 90.00
_space_group_name_H-M_alt 'C m c m'
_space_group_IT_number 63
_space_group_name_Hall '-C 2c 2'
loop_
_atom_site_label
_atom_site_type_symbol
_atom_site_fract_x
_atom_site_fract_y
_atom_site_fract_z
Tb1 Tb 0.0000 0.0683 0.2500
Tb2 Tb 0.1821 0.2497 0.7500
Dy1 Dy 0.0000 0.4326 0.2500
Ru1 Ru 0.2492 0.5000 0.0000
```